Record 1
Structure and simulated PXRD pattern of La2Mn3Sb3O14 (the GGA+U geometry in the Materials Project; copper Kα).
Peak positions follow from Bragg's law for the DFT cell and can differ from measured ones.

Largest 10 diffraction maxima, by angle, 10 to 90 degrees two-theta:
2θ (°), I_rel
14.75, 18
29.40, 100
29.53, 50
29.76, 49
34.09, 20
34.28, 39
48.96, 49
49.27, 31
58.17, 36
58.55, 20

Crystal structure
```
data_La2Mn3Sb3O14
_chemical_formula_sum 'La4 Mn6 Sb6 O28'
_cell_length_a 12.7872
_cell_length_b 7.4440
_cell_length_c 7.3534
_cell_angle_alpha 90.00
_cell_angle_beta 124.64
_cell_angle_gamma 90.00
_space_group_name_H-M_alt 'C 1 2/m 1'
_space_group_IT_number 12
_space_group_name_Hall '-C 2y'
loop_
_atom_site_label
_atom_site_type_symbol
_atom_site_fract_x
_atom_site_fract_y
_atom_site_fract_z
_atom_site_occupancy
La1 La 0.0000 0.0000 0.0000 1
La2 La 0.0000 0.0000 0.5000 1
Mn1 Mn 0.0000 0.5000 0.0000 1
Mn2 Mn 0.2500 0.2500 0.5000 1
Sb1 Sb 0.0000 0.5000 0.5000 1
Sb2 Sb 0.2500 0.2500 0.0000 1
O1 O 0.0710 0.5000 0.3185 1
O2 O 0.1239 0.2988 0.6721 1
O3 O 0.1283 0.2900 0.0769 1
O4 O 0.1419 0.0000 0.3943 1
O5 O 0.1731 0.0000 0.9160 1
```


Record 2
Structure and simulated PXRD pattern of Ca4Ga3FeO10 (the GGA+U geometry in the Materials Project; copper Kα).
Peak positions follow from Bragg's law for the DFT cell and can differ from measured ones.

Largest 10 diffraction maxima, by angle, 10 to 90 degrees two-theta:
2θ (°), I_rel
22.65, 20
23.91, 12
24.04, 13
31.57, 33
32.90, 41
33.26, 100
46.24, 35
49.23, 18
57.31, 16
58.98, 15

Crystal structure
```
data_Ca4Ga3FeO10
_chemical_formula_sum 'Ca8 Ga6 Fe2 O20'
_cell_length_a 5.6680
_cell_length_b 5.4441
_cell_length_c 15.8544
_cell_angle_alpha 90.00
_cell_angle_beta 110.94
_cell_angle_gamma 90.00
_space_group_name_H-M_alt 'P 1 21/c 1'
_space_group_IT_number 14
_space_group_name_Hall '-P 2ybc'
loop_
_atom_site_label
_atom_site_type_symbol
_atom_site_fract_x
_atom_site_fract_y
_atom_site_fract_z
_atom_site_occupancy
Ca1 Ca 0.0814 0.0202 0.1085 1
Ca2 Ca 0.3648 0.0210 0.3916 1
Ga1 Ga 0.3196 0.5521 0.2502 1
Ga2 Ga 0.5000 0.0000 0.0000 1
Fe1 Fe 0.0000 0.0000 0.5000 1
O1 O 0.0684 0.0271 0.6419 1
O2 O 0.2492 0.7304 0.5156 1
O3 O 0.2828 0.0279 0.8577 1
O4 O 0.2866 0.2336 0.5157 1
O5 O 0.3755 0.5995 0.7500 1
```


Record 3
Structure and simulated PXRD pattern of SmFeAsO (the GGA+U geometry in the Materials Project; copper Kα).
Peak positions follow from Bragg's law for the DFT cell and can differ from measured ones.

Largest 10 diffraction maxima, by angle, 10 to 90 degrees two-theta:
2θ (°), I_rel
29.70, 100
31.42, 21
32.98, 22
37.29, 36
45.03, 32
51.61, 27
54.87, 37
59.82, 9
65.58, 10
88.02, 11

Crystal structure
```
data_SmFeAsO
_chemical_formula_sum 'Sm2 Fe2 As2 O2'
_cell_length_a 4.0265
_cell_length_b 4.0265
_cell_length_c 9.0468
_cell_angle_alpha 90.00
_cell_angle_beta 90.00
_cell_angle_gamma 90.00
_space_group_name_H-M_alt 'P 4/n m m'
_space_group_IT_number 129
loop_
_space_group_symop_operation_xyz
'x,y,z'
'-x,-y,-z'
'-y+1/2,x,z'
'y+1/2,-x,-z'
'-x+1/2,-y+1/2,z'
'x+1/2,y+1/2,-z'
'y,-x+1/2,z'
'-y,x+1/2,-z'
'x+1/2,-y,-z'
'-x+1/2,y,z'
'-y,-x,-z'
'y,x,z'
'-x,y+1/2,-z'
'x,-y+1/2,z'
'y+1/2,x+1/2,-z'
'-y+1/2,-x+1/2,z'
loop_
_atom_site_label
_atom_site_type_symbol
_atom_site_fract_x
_atom_site_fract_y
_atom_site_fract_z
_atom_site_occupancy
Sm1 Sm 0.2500 0.2500 0.1257 1
Fe1 Fe 0.2500 0.7500 0.5000 1
As1 As 0.2500 0.2500 0.6787 1
O1 O 0.2500 0.7500 0.0000 1
```


Record 4
Structure and simulated PXRD pattern of BaNd3Co4O12 (the GGA+U geometry in the Materials Project; copper Kα).
Peak positions follow from Bragg's law for the DFT cell and can differ from measured ones.

Largest 10 diffraction maxima, by angle, 10 to 90 degrees two-theta:
2θ (°), I_rel
32.26, 70
32.52, 100
32.72, 32
39.99, 14
40.11, 15
46.06, 21
46.49, 19
47.19, 19
57.59, 29
58.42, 14

Crystal structure
```
data_BaNd3Co4O12
_chemical_formula_sum 'Ba1 Nd3 Co4 O12'
_cell_length_a 5.4741
_cell_length_b 7.8828
_cell_length_c 5.4987
_cell_angle_alpha 90.00
_cell_angle_beta 90.81
_cell_angle_gamma 90.00
_space_group_name_H-M_alt 'P 1 m 1'
_space_group_IT_number 6
_space_group_name_Hall 'P -2y'
loop_
_atom_site_label
_atom_site_type_symbol
_atom_site_fract_x
_atom_site_fract_y
_atom_site_fract_z
_atom_site_occupancy
Ba1 Ba 0.0000 0.0000 0.0000 1
Nd1 Nd 0.0058 0.5000 0.0494 1
Nd2 Nd 0.4953 0.5000 0.5407 1
Nd3 Nd 0.5118 0.0000 0.4786 1
Co1 Co 0.5019 0.2523 0.0105 1
Co2 Co 0.9970 0.2530 0.5169 1
O1 O 0.0805 0.0000 0.5116 1
O2 O 0.2308 0.2977 0.7889 1
O3 O 0.2590 0.2972 0.2929 1
O4 O 0.4690 0.0000 0.0388 1
O5 O 0.5765 0.5000 0.9909 1
O6 O 0.7177 0.2194 0.7176 1
O7 O 0.7528 0.2327 0.2521 1
O8 O 0.9292 0.5000 0.5066 1
```


Record 5
Structure and simulated PXRD pattern of BaSr4Fe5O15 (the GGA+U geometry in the Materials Project; copper Kα).
Peak positions follow from Bragg's law for the DFT cell and can differ from measured ones.

Largest 10 diffraction maxima, by angle, 10 to 90 degrees two-theta:
2θ (°), I_rel
32.17, 100
39.67, 14
46.00, 12
46.20, 25
57.27, 13
57.39, 25
67.24, 14
67.40, 7
76.66, 11
85.47, 7

Crystal structure
```
data_BaSr4Fe5O15
_chemical_formula_sum 'Ba2 Sr8 Fe10 O30'
_cell_length_a 3.9299
_cell_length_b 3.9299
_cell_length_c 39.4616
_cell_angle_alpha 90.00
_cell_angle_beta 90.00
_cell_angle_gamma 90.00
_space_group_name_H-M_alt 'P 4/m m m'
_space_group_IT_number 123
_space_group_name_Hall '-P 4 2'
loop_
_atom_site_label
_atom_site_type_symbol
_atom_site_fract_x
_atom_site_fract_y
_atom_site_fract_z
_atom_site_occupancy
Ba1 Ba 0.0000 0.0000 0.2499 1
Sr1 Sr 0.0000 0.0000 0.0495 1
Sr2 Sr 0.0000 0.0000 0.1485 1
Sr3 Sr 0.0000 0.0000 0.3514 1
Sr4 Sr 0.0000 0.0000 0.4505 1
Fe1 Fe 0.5000 0.5000 0.0000 1
Fe2 Fe 0.5000 0.5000 0.0989 1
Fe3 Fe 0.5000 0.5000 0.1987 1
Fe4 Fe 0.5000 0.5000 0.3012 1
Fe5 Fe 0.5000 0.5000 0.4010 1
Fe6 Fe 0.5000 0.5000 0.5000 1
O1 O 0.0000 0.5000 0.0000 1
O2 O 0.0000 0.5000 0.0984 1
O3 O 0.0000 0.5000 0.1965 1
O4 O 0.0000 0.5000 0.3033 1
O5 O 0.0000 0.5000 0.4015 1
O6 O 0.0000 0.5000 0.5000 1
O7 O 0.5000 0.5000 0.0496 1
O8 O 0.5000 0.5000 0.1472 1
O9 O 0.5000 0.5000 0.2499 1
O10 O 0.5000 0.5000 0.3527 1
O11 O 0.5000 0.5000 0.4504 1
```


Record 6
Structure and simulated PXRD pattern of Li2MnCr3O8 (the GGA+U geometry in the Materials Project; copper Kα).
Peak positions follow from Bragg's law for the DFT cell and can differ from measured ones.

Largest 10 diffraction maxima, by angle, 10 to 90 degrees two-theta:
2θ (°), I_rel
18.95, 50
19.84, 100
25.84, 33
33.66, 30
36.06, 51
36.55, 44
40.30, 39
45.98, 57
61.43, 40
63.22, 38

Crystal structure
```
data_Li2MnCr3O8
_chemical_formula_sum 'Li4 Mn2 Cr6 O16'
_cell_length_a 5.8830
_cell_length_b 5.8830
_cell_length_c 9.3675
_cell_angle_alpha 90.00
_cell_angle_beta 90.00
_cell_angle_gamma 120.00
_space_group_name_H-M_alt 'P 63 m c'
_space_group_IT_number 186
_space_group_name_Hall 'P 6c -2c'
loop_
_atom_site_label
_atom_site_type_symbol
_atom_site_fract_x
_atom_site_fract_y
_atom_site_fract_z
_atom_site_occupancy
Li1 Li 0.0000 0.0000 0.0000 1
Li2 Li 0.3333 0.6667 0.4011 1
Mn1 Mn 0.3333 0.6667 0.9868 1
Cr1 Cr 0.1696 0.3392 0.7151 1
O1 O 0.0000 0.0000 0.3127 1
O2 O 0.0431 0.5216 0.8486 1
O3 O 0.1669 0.3338 0.1043 1
O4 O 0.3333 0.6667 0.6073 1
```


Record 7
Structure and simulated PXRD pattern of LiMnBO4 (the GGA+U geometry in the Materials Project; copper Kα).
Peak positions follow from Bragg's law for the DFT cell and can differ from measured ones.

Largest 10 diffraction maxima, by angle, 10 to 90 degrees two-theta:
2θ (°), I_rel
17.79, 100
22.26, 45
33.91, 33
37.98, 39
41.20, 19
46.16, 21
55.62, 24
56.05, 12
64.37, 11
65.08, 9

Crystal structure
```
data_LiMnBO4
_chemical_formula_sum 'Li4 Mn4 B4 O16'
_cell_length_a 9.9725
_cell_length_b 5.8861
_cell_length_c 4.3589
_cell_angle_alpha 90.00
_cell_angle_beta 90.00
_cell_angle_gamma 90.00
_space_group_name_H-M_alt 'P n m a'
_space_group_IT_number 62
_space_group_name_Hall '-P 2ac 2n'
loop_
_atom_site_label
_atom_site_type_symbol
_atom_site_fract_x
_atom_site_fract_y
_atom_site_fract_z
_atom_site_occupancy
Li1 Li 0.2238 0.2500 0.0169 1
Mn1 Mn 0.0000 0.0000 0.5000 1
B1 B 0.0874 0.7500 0.0885 1
O1 O 0.0578 0.2500 0.7510 1
O2 O 0.0789 0.7500 0.7506 1
O3 O 0.1444 0.5421 0.2162 1
```


> Which formula does entry 6 have?

Li2MnCr3O8


Copy entry 4 word for word.
Structure and simulated PXRD pattern of BaNd3Co4O12 (the GGA+U geometry in the Materials Project; copper Kα).
Peak positions follow from Bragg's law for the DFT cell and can differ from measured ones.

Largest 10 diffraction maxima, by angle, 10 to 90 degrees two-theta:
2θ (°), I_rel
32.26, 70
32.52, 100
32.72, 32
39.99, 14
40.11, 15
46.06, 21
46.49, 19
47.19, 19
57.59, 29
58.42, 14

Crystal structure
```
data_BaNd3Co4O12
_chemical_formula_sum 'Ba1 Nd3 Co4 O12'
_cell_length_a 5.4741
_cell_length_b 7.8828
_cell_length_c 5.4987
_cell_angle_alpha 90.00
_cell_angle_beta 90.81
_cell_angle_gamma 90.00
_space_group_name_H-M_alt 'P 1 m 1'
_space_group_IT_number 6
_space_group_name_Hall 'P -2y'
loop_
_atom_site_label
_atom_site_type_symbol
_atom_site_fract_x
_atom_site_fract_y
_atom_site_fract_z
_atom_site_occupancy
Ba1 Ba 0.0000 0.0000 0.0000 1
Nd1 Nd 0.0058 0.5000 0.0494 1
Nd2 Nd 0.4953 0.5000 0.5407 1
Nd3 Nd 0.5118 0.0000 0.4786 1
Co1 Co 0.5019 0.2523 0.0105 1
Co2 Co 0.9970 0.2530 0.5169 1
O1 O 0.0805 0.0000 0.5116 1
O2 O 0.2308 0.2977 0.7889 1
O3 O 0.2590 0.2972 0.2929 1
O4 O 0.4690 0.0000 0.0388 1
O5 O 0.5765 0.5000 0.9909 1
O6 O 0.7177 0.2194 0.7176 1
O7 O 0.7528 0.2327 0.2521 1
O8 O 0.9292 0.5000 0.5066 1
```